[1]
This entry pairs a crystal structure of LaCoSb3 with its calculated powder X-ray diffraction pattern. Radiation: Cu Kα X-rays. Structure: a structure optimized by DFT (PBE).

Principal peaks in the range 2θ from 10° to 90°, by angle:
2θ/deg, I/Imax, index
27.40, 26, 4 0 0
30.09, 21, 1 0 4
31.84, 56, 2 2 0
32.42, 37, 2 0 4
34.39, 100, 4 1 2
35.47, 20, 3 2 0
35.99, 27, 3 0 4
41.43, 66, 0 2 4
55.27, 23, 4 1 6
60.74, 26, 0 0 8

Structure:
abc: 13.022 6.231 12.200
angles: 90.00 90.00 90.00
Space group Pbcm (No. 57)
Symmetry-distinct sites (fractional):
La 0.198 0.228 0.250 (multiplicity 4)
La 0.201 0.750 0.000 (multiplicity 4)
Co 0.404 0.038 0.636 (multiplicity 8)
Sb 0.002 0.011 0.624 (multiplicity 8)
Sb 0.286 0.250 0.000 (multiplicity 4)
Sb 0.292 0.732 0.250 (multiplicity 4)
Sb 0.445 0.115 0.250 (multiplicity 4)
Sb 0.473 0.750 0.000 (multiplicity 4)

[2]
This entry pairs a crystal structure of LaCo9Si4 with its calculated powder X-ray diffraction pattern. Radiation: Cu Kα X-rays. Structure: a structure optimized by DFT (PBE).

Principal peaks in the range 2θ from 10° to 90°, by angle:
2θ/deg, I/Imax, index
31.04, 16, 0 0 4
35.17, 21, 1 1 4
36.21, 21, 2 2 2
36.55, 16, 3 1 0
38.91, 24, 2 0 4
39.87, 100, 3 1 2
47.32, 41, 0 0 6
48.41, 35, 3 2 3
48.95, 20, 4 1 1
52.66, 13, 4 2 0

Structure:
abc: 7.774 7.774 11.525
angles: 90.00 90.00 90.00
Space group I4/mcm (No. 140)
Symmetry-distinct sites (fractional):
La 0.000 0.000 0.250 (multiplicity 4)
Co 0.000 0.500 0.000 (multiplicity 4)
Co 0.069 0.200 0.000 (multiplicity 16)
Co 0.129 0.371 0.180 (multiplicity 16)
Si 0.169 0.331 0.379 (multiplicity 16)

[3]
This entry pairs a crystal structure of LaCoSi2 with its calculated powder X-ray diffraction pattern. Radiation: Cu Kα X-rays. Structure: a structure optimized by DFT (PBE).

Principal peaks in the range 2θ from 10° to 90°, by angle:
2θ/deg, I/Imax, index
21.49, 15, 0 4 0
24.12, 15, 0 2 1
30.62, 15, 0 4 1
30.73, 47, 1 1 1
34.41, 100, 1 5 0
39.32, 24, 0 6 1
42.66, 21, 2 0 0
43.92, 19, 0 0 2
56.94, 20, 1 5 2
59.40, 14, 2 6 1

Structure:
abc: 4.239 16.541 4.123
angles: 90.00 90.00 90.00
Space group Cmcm (No. 63)
Symmetry-distinct sites (fractional):
La 0.000 0.107 0.250 (multiplicity 4)
Co 0.000 0.318 0.250 (multiplicity 4)
Si 0.000 0.250 0.750 (multiplicity 4)
Si 0.000 0.456 0.250 (multiplicity 4)

[4]
This entry pairs a crystal structure of LaCo2Si2 with its calculated powder X-ray diffraction pattern. Radiation: Cu Kα X-rays. Structure: a structure optimized by DFT (PBE).

Principal peaks in the range 2θ from 10° to 90°, by angle:
2θ/deg, I/Imax, index
24.02, 44, 1 0 1
34.69, 62, 1 0 3
35.15, 19, 0 0 4
36.49, 100, 1 1 2
45.64, 41, 2 0 0
50.22, 16, 1 0 5
58.57, 27, 2 1 3
58.88, 16, 2 0 4
63.94, 24, 1 1 6
78.32, 20, 3 1 2

Structure:
abc: 3.976 3.976 10.213
angles: 90.00 90.00 90.00
Space group I4/mmm (No. 139)
Symmetry-distinct sites (fractional):
La 0.000 0.000 0.000 (multiplicity 2)
Co 0.000 0.500 0.250 (multiplicity 4)
Si 0.000 0.000 0.363 (multiplicity 4)

[5]
This entry pairs a crystal structure of La3Co4Sn13 with its calculated powder X-ray diffraction pattern. Radiation: Cu Kα X-rays. Structure: a structure optimized by DFT (PBE).

Principal peaks in the range 2θ from 10° to 90°, by angle:
2θ/deg, I/Imax, index
33.31, 100, 3 2 0
34.60, 36, 3 2 1
37.08, 18, 4 0 0
38.26, 13, 4 1 0
45.83, 13, 4 2 2
55.22, 14, 4 3 3
58.68, 18, 5 3 2
63.64, 9, 6 2 2
67.61, 11, 6 3 2
88.45, 9, 6 5 4

Structure:
abc: 9.699 9.699 9.699
angles: 90.00 90.00 90.00
Space group Pm-3n (No. 223)
Symmetry-distinct sites (fractional):
La 0.000 0.250 0.500 (multiplicity 6)
Co 0.250 0.250 0.250 (multiplicity 8)
Sn 0.000 0.000 0.000 (multiplicity 2)
Sn 0.000 0.302 0.157 (multiplicity 24)

[6]
This entry pairs a crystal structure of La3Co2Sn7 with its calculated powder X-ray diffraction pattern. Radiation: Cu Kα X-rays. Structure: a structure optimized by DFT (PBE).

Principal peaks in the range 2θ from 10° to 90°, by angle:
2θ/deg, I/Imax, index
31.64, 100, 1 5 1
32.22, 23, 0 10 0
35.47, 9, 1 7 1
38.76, 47, 2 0 0
51.26, 21, 2 10 0
55.98, 16, 2 0 2
63.60, 10, 1 17 1
65.74, 26, 3 5 1
66.08, 9, 2 10 2
89.77, 8, 3 17 1

Structure:
abc: 4.648 27.774 4.645
angles: 90.00 90.00 90.00
Space group Cmmm (No. 65)
Symmetry-distinct sites (fractional):
La 0.000 0.000 0.000 (multiplicity 2)
La 0.000 0.315 0.500 (multiplicity 4)
Co 0.000 0.127 0.000 (multiplicity 4)
Sn 0.000 0.090 0.500 (multiplicity 4)
Sn 0.000 0.217 0.000 (multiplicity 4)
Sn 0.000 0.410 0.000 (multiplicity 4)
Sn 0.000 0.500 0.500 (multiplicity 2)

[7]
This entry pairs a crystal structure of La4TaCo33 with its calculated powder X-ray diffraction pattern. Radiation: Cu Kα X-rays. Structure: a structure optimized by DFT (PBE).

Principal peaks in the range 2θ from 10° to 90°, by angle:
2θ/deg, I/Imax, index
30.43, 52, 3 1 0
31.60, 24, 2 0 -4
36.82, 25, 2 0 4
36.96, 51, 1 3 2
38.29, 61, 2 2 -4
42.83, 81, 2 2 4
43.03, 65, 0 4 0
43.20, 25, 4 0 2
43.27, 100, 3 3 0
44.21, 71, 4 0 -4

Structure:
abc: 9.522 8.415 12.763
angles: 90.00 99.24 90.00
Space group Cm (No. 8)
Symmetry-distinct sites (fractional):
La 0.000 0.000 0.000 (multiplicity 2)
La 0.001 0.000 0.499 (multiplicity 2)
La 0.188 0.500 0.155 (multiplicity 2)
La 0.198 0.500 0.649 (multiplicity 2)
Ta 0.438 0.000 0.780 (multiplicity 2)
Co 0.003 0.000 0.754 (multiplicity 2)
Co 0.004 0.000 0.252 (multiplicity 2)
Co 0.094 0.250 0.327 (multiplicity 4)
Co 0.096 0.246 0.828 (multiplicity 4)
Co 0.184 0.500 0.401 (multiplicity 2)
Co 0.189 0.500 0.902 (multiplicity 2)
Co 0.198 0.144 0.683 (multiplicity 4)
Co 0.202 0.142 0.186 (multiplicity 4)
Co 0.246 0.000 0.880 (multiplicity 2)
Co 0.247 0.245 0.998 (multiplicity 4)
Co 0.249 0.000 0.374 (multiplicity 2)
Co 0.249 0.244 0.496 (multiplicity 4)
Co 0.343 0.000 0.574 (multiplicity 2)
Co 0.343 0.290 0.828 (multiplicity 4)
Co 0.344 0.000 0.078 (multiplicity 2)
Co 0.344 0.283 0.327 (multiplicity 4)
Co 0.438 0.000 0.279 (multiplicity 2)
Co 0.440 0.245 0.157 (multiplicity 4)
Co 0.442 0.246 0.655 (multiplicity 4)
Co 0.486 0.142 0.468 (multiplicity 4)
Co 0.486 0.145 0.972 (multiplicity 4)

[8]
This entry pairs a crystal structure of La6TlCo13 with its calculated powder X-ray diffraction pattern. Radiation: Cu Kα X-rays. Structure: a structure optimized by DFT (PBE).

Principal peaks in the range 2θ from 10° to 90°, by angle:
2θ/deg, I/Imax, index
27.22, 75, 2 1 3
27.71, 44, 1 1 6
31.31, 85, 2 2 0
31.91, 62, 2 0 6
34.46, 34, 1 1 8
35.15, 100, 3 1 0
38.00, 47, 2 0 8
42.32, 32, 3 1 6
42.87, 62, 2 1 9
46.56, 59, 0 0 12

Structure:
abc: 8.074 8.074 23.390
angles: 90.00 90.00 90.00
Space group I4/mcm (No. 140)
Symmetry-distinct sites (fractional):
La 0.000 0.000 0.099 (multiplicity 8)
La 0.162 0.338 0.177 (multiplicity 16)
Tl 0.000 0.000 0.250 (multiplicity 4)
Co 0.000 0.500 0.000 (multiplicity 4)
Co 0.065 0.214 0.500 (multiplicity 16)
Co 0.113 0.387 0.412 (multiplicity 16)
Co 0.177 0.323 0.055 (multiplicity 16)

[9]
This entry pairs a crystal structure of La2VCo16 with its calculated powder X-ray diffraction pattern. Radiation: Cu Kα X-rays. Structure: a structure optimized by DFT (PBE).

Principal peaks in the range 2θ from 10° to 90°, by angle:
2θ/deg, I/Imax, index
30.56, 35, 1 1 3
37.08, 36, 3 0 0
38.46, 32, 0 2 4
43.08, 64, 2 2 0
43.42, 100, 3 0 3
44.30, 17, 2 1 4
44.43, 32, 0 0 6
48.78, 27, 2 2 3
62.83, 17, 1 4 3
78.98, 16, 6 0 0

Structure:
abc: 8.3988 8.3988 12.2339
angles: 90.00 90.00 120.00
Space group R3m (No. 160, hexagonal axes)
Symmetry-distinct sites (fractional):
La 0.0000 0.0000 0.0000 (multiplicity 3)
La 0.0000 0.0000 0.3060 (multiplicity 3)
V 0.0000 0.0000 0.7430 (multiplicity 3)
Co 0.0000 0.0000 0.5561 (multiplicity 3)
Co 0.0001 0.5001 0.1509 (multiplicity 9)
Co 0.0083 0.5042 0.4960 (multiplicity 9)
Co 0.0469 0.3797 0.3162 (multiplicity 18)
Co 0.1711 0.3422 0.1385 (multiplicity 9)